(1)
The following is a calculated powder XRD pattern of BeIn2Ru. It was derived from DFT lattice parameters and positions (GGA-PBE), using copper Kα.

Peak list (8 most intense, 5° ≤ 2θ ≤ 70°, in order of rising 2θ)
2θ/deg	intensity
29.02	34
35.24	100
35.96	14
36.82	29
37.03	29
42.99	33
46.51	21
51.22	16

Lattice parameters (Å, degrees): 3.5672 3.9052 5.2944 90.00 109.37 90.00
Fractional positions:
Be: 0.0000 0.0000 0.0000
In: 0.2898 0.0000 0.5793
In: 0.5961 0.5000 0.1985
Ru: 0.8826 0.5000 0.7678

***

(2)
The following is a calculated powder XRD pattern of ScBeIn. It was derived from DFT lattice parameters and positions (GGA-PBE), using copper Kα.

Peak list (8 most intense, 5° ≤ 2θ ≤ 70°, in order of rising 2θ)
2θ/deg	intensity
16.45	89
29.30	54
30.14	100
34.13	69
35.95	63
37.11	84
38.64	51
42.43	50

Lattice parameters (Å, degrees): 5.7455 5.7455 5.4028 94.76 94.76 39.12
Fractional positions:
Sc: 0.0000 0.0000 0.0000
Sc: 0.5812 0.5812 0.5267
Be: 0.2154 0.2154 0.2886
Be: 0.6770 0.6770 0.0889
In: 0.2700 0.2700 0.8187
In: 0.8651 0.8651 0.4522

***

(3)
The following is a calculated powder XRD pattern of ScBeIn. It was derived from DFT lattice parameters and positions (GGA-PBE), using copper Kα.

Peak list (8 most intense, 5° ≤ 2θ ≤ 70°, in order of rising 2θ)
2θ/deg	intensity
20.59	43
27.83	54
31.75	100
35.74	77
37.01	46
38.48	33
41.94	33
48.85	29

Lattice parameters (Å, degrees): 4.8247 3.7230 6.6103 90.00 104.11 90.00
Fractional positions:
Sc: 0.0000 0.0000 0.0000
Sc: 0.4035 0.0000 0.5535
Be: 0.0698 0.5000 0.2968
Be: 0.8632 0.0000 0.3539
In: 0.5239 0.5000 0.1411
In: 0.9259 0.5000 0.6371

***

(4)
The following is a calculated powder XRD pattern of Be2In4Si. It was derived from DFT lattice parameters and positions (GGA-PBE), using copper Kα.

Peak list (8 most intense, 5° ≤ 2θ ≤ 70°, in order of rising 2θ)
2θ/deg	intensity
27.96	100
29.98	20
33.53	44
41.47	10
45.60	26
48.15	16
56.60	26
57.78	14

Lattice parameters (Å, degrees): 7.0577 7.0577 7.0577 135.50 135.50 64.75
Fractional positions:
Be: 0.0835 0.0835 0.0000
Be: 0.9165 0.9165 0.0000
In: 0.0000 0.5000 0.5000
In: 0.2820 0.2820 0.0000
In: 0.5000 0.0000 0.5000
In: 0.7180 0.7180 0.0000
Si: 0.5000 0.5000 0.0000

***

(5)
The following is a calculated powder XRD pattern of TaBeIn. It was derived from DFT lattice parameters and positions (GGA-PBE), using copper Kα.

Peak list (8 most intense, 5° ≤ 2θ ≤ 70°, in order of rising 2θ)
2θ/deg	intensity
16.13	27
30.95	69
32.59	28
38.84	100
42.70	43
54.73	26
61.98	14
67.34	19

Lattice parameters (Å, degrees): 5.8887 5.8887 5.8887 150.54 150.54 42.15
Fractional positions:
Ta: 0.0000 0.0000 0.0000
Be: 0.6368 0.6368 0.0000
In: 0.2983 0.2983 0.0000

***

(6)
The following is a calculated powder XRD pattern of BeInW. It was derived from DFT lattice parameters and positions (GGA-PBE), using copper Kα.

Peak list (8 most intense, 5° ≤ 2θ ≤ 70°, in order of rising 2θ)
2θ/deg	intensity
17.98	43
27.76	89
32.71	58
36.42	42
38.07	100
41.35	90
41.95	76
56.26	47

Lattice parameters (Å, degrees): 5.4096 5.4096 5.4096 149.46 143.38 48.40
Fractional positions:
Be: 0.0000 0.0000 0.0000
In: 0.6928 0.6928 0.0000
W: 0.3952 0.3952 0.0000

***

(7)
The following is a calculated powder XRD pattern of BeZnIn. It was derived from DFT lattice parameters and positions (GGA-PBE), using copper Kα.

Peak list (8 most intense, 5° ≤ 2θ ≤ 70°, in order of rising 2θ)
2θ/deg	intensity
30.31	44
30.61	100
39.80	49
40.65	16
44.71	21
46.84	16
47.19	17
56.82	14

Lattice parameters (Å, degrees): 4.8372 3.8790 6.0828 90.00 113.45 90.00
Fractional positions:
Be: 0.0000 0.0000 0.0000
Be: 0.1663 0.5000 0.8869
Zn: 0.6595 0.5000 0.8341
Zn: 0.8653 0.0000 0.6032
In: 0.1877 0.5000 0.3735
In: 0.5553 0.0000 0.1270

***

(8)
The following is a calculated powder XRD pattern of BeZnIn. It was derived from DFT lattice parameters and positions (GGA-PBE), using copper Kα.

Peak list (8 most intense, 5° ≤ 2θ ≤ 70°, in order of rising 2θ)
2θ/deg	intensity
29.52	61
30.52	100
31.21	36
31.51	34
32.20	87
44.25	47
44.96	84
54.46	29

Lattice parameters (Å, degrees): 4.0383 4.0383 6.6882 107.99 107.99 86.99
Fractional positions:
Be: 0.2473 0.2473 0.9999
Be: 0.7527 0.7527 0.0001
Zn: 0.6374 0.1416 0.7751
Zn: 0.8584 0.3626 0.2249
In: 0.0917 0.5940 0.6804
In: 0.4060 0.9083 0.3196